1.
Structure and simulated powder XRD pattern of Na2MgCuCl5 (a structure optimized by DFT (PBE); copper Kα).

Largest 10 diffraction maxima, by intensity, 2θ from 5° to 70°:
32.10 deg, I = 100
33.05 deg, I = 74
13.87 deg, I = 54
27.92 deg, I = 47
48.06 deg, I = 37
53.84 deg, I = 35
30.02 deg, I = 33
12.70 deg, I = 29
59.57 deg, I = 24
38.70 deg, I = 23

abc: 8.5341 8.5341 12.7668
angles: 90.00 90.00 154.37
Element x y z (fractional)
Na (0.0880, 0.9120, 0.5000)
Na (0.1260, 0.8740, 0.1685)
Na (0.8740, 0.1260, 0.6685)
Na (0.9120, 0.0880, 0.0000)
Mg (0.2174, 0.7826, 0.8714)
Mg (0.7826, 0.2174, 0.3714)
Cu (0.4449, 0.5551, 0.2724)
Cu (0.5551, 0.4449, 0.7724)
Cl (0.0649, 0.9351, 0.8765)
Cl (0.2765, 0.7235, 0.5059)
Cl (0.2914, 0.7086, 0.2373)
Cl (0.3652, 0.6348, 0.8498)
Cl (0.4973, 0.5027, 0.6146)
Cl (0.5027, 0.4973, 0.1146)
Cl (0.6348, 0.3652, 0.3498)
Cl (0.7086, 0.2914, 0.7373)
Cl (0.7235, 0.2765, 0.0059)
Cl (0.9351, 0.0649, 0.3765)

2.
Structure and simulated powder XRD pattern of Mn2Cu2Cl7 (a structure optimized by DFT (PBE); copper Kα).

Largest 10 diffraction maxima, by intensity, 2θ from 5° to 70°:
22.85 deg, I = 100
13.05 deg, I = 36
20.04 deg, I = 34
42.13 deg, I = 30
29.44 deg, I = 24
25.12 deg, I = 24
28.60 deg, I = 24
16.85 deg, I = 21
27.33 deg, I = 19
51.32 deg, I = 15

abc: 7.1219 7.1219 12.5688
angles: 104.80 104.80 95.30
Element x y z (fractional)
Mn (0.1407, 0.2441, 0.2004)
Mn (0.2441, 0.1407, 0.7004)
Mn (0.7559, 0.8593, 0.2996)
Mn (0.8593, 0.7559, 0.7996)
Cu (0.3355, 0.5723, 0.5639)
Cu (0.4277, 0.6645, 0.9361)
Cu (0.5723, 0.3355, 0.0639)
Cu (0.6645, 0.4277, 0.4361)
Cl (0.0379, 0.9621, 0.2500)
Cl (0.0978, 0.5998, 0.8866)
Cl (0.1297, 0.3276, 0.5756)
Cl (0.3276, 0.1297, 0.0756)
Cl (0.3377, 0.4964, 0.3636)
Cl (0.4002, 0.9022, 0.6134)
Cl (0.4964, 0.3377, 0.8636)
Cl (0.5036, 0.6623, 0.1364)
Cl (0.5998, 0.0978, 0.3866)
Cl (0.6623, 0.5036, 0.6364)
Cl (0.6724, 0.8703, 0.9244)
Cl (0.8703, 0.6724, 0.4244)
Cl (0.9022, 0.4002, 0.1134)
Cl (0.9621, 0.0379, 0.7500)

3.
Structure and simulated powder XRD pattern of MnCu3Cl9 (a structure optimized by DFT (PBE); copper Kα).

Largest 10 diffraction maxima, by intensity, 2θ from 5° to 70°:
17.73 deg, I = 100
20.06 deg, I = 48
22.47 deg, I = 36
30.92 deg, I = 32
45.92 deg, I = 21
28.51 deg, I = 19
25.02 deg, I = 16
18.83 deg, I = 15
12.67 deg, I = 14
18.98 deg, I = 13

abc: 9.4591 9.4591 11.7768
angles: 122.63 122.63 54.87
Element x y z (fractional)
Mn (0.2223, 0.7777, 0.5000)
Mn (0.7777, 0.2223, 0.0000)
Cu (0.2205, 0.3113, 0.7725)
Cu (0.3113, 0.2205, 0.2725)
Cu (0.5523, 0.7056, 0.3276)
Cu (0.7056, 0.5523, 0.8276)
Cu (0.7465, 0.9893, 0.1680)
Cu (0.9893, 0.7465, 0.6680)
Cl (0.0059, 0.4444, 0.8692)
Cl (0.0615, 0.2152, 0.0693)
Cl (0.1133, 0.9044, 0.6856)
Cl (0.2108, 0.5046, 0.4365)
Cl (0.2152, 0.0615, 0.5693)
Cl (0.2361, 0.5188, 0.7497)
Cl (0.3149, 0.6781, 0.3134)
Cl (0.4444, 0.0059, 0.3692)
Cl (0.5046, 0.2108, 0.9365)
Cl (0.5188, 0.2361, 0.2497)
Cl (0.5273, 0.6672, 0.6425)
Cl (0.6010, 0.8062, 0.0007)
Cl (0.6672, 0.5273, 0.1425)
Cl (0.6781, 0.3149, 0.8134)
Cl (0.8062, 0.6010, 0.5007)
Cl (0.8622, 0.9221, 0.8491)
Cl (0.9044, 0.1133, 0.1856)
Cl (0.9221, 0.8622, 0.3491)

> What is the formula in the third record?

MnCu3Cl9